The following is a computed powder diffraction line list of VFe5P6O24. It was derived from a cell relaxed with PBE+U, using Cu Kα X-rays.
Intensities are scaled so that the largest is 100.

Structural model:
```
data_VFe5P6O24
_chemical_formula_sum 'V1 Fe5 P6 O24'
_symmetry_space_group_name_H-M 'P 1'
_symmetry_Int_Tables_number 1
_symmetry_space_group_name_Hall 'P 1'
_cell_length_a 8.475
_cell_length_b 8.475
_cell_length_c 8.475
_cell_angle_alpha 61.30
_cell_angle_beta 61.30
_cell_angle_gamma 61.30
loop_
_atom_site_label
_atom_site_fract_x
_atom_site_fract_y
_atom_site_fract_z
V1 0.000 0.000 0.000
Fe1 0.143 0.143 0.143
Fe2 0.285 0.285 0.285
Fe3 0.496 0.496 0.496
Fe4 0.643 0.643 0.643
Fe5 0.789 0.789 0.789
P1 0.095 0.684 0.392
P2 0.189 0.601 0.891
P3 0.392 0.095 0.684
P4 0.601 0.891 0.189
P5 0.684 0.392 0.095
P6 0.891 0.189 0.601
O1 0.037 0.646 0.815
O2 0.046 0.205 0.403
O3 0.074 0.886 0.235
O4 0.136 0.530 0.321
O5 0.143 0.760 0.963
O6 0.205 0.403 0.046
O7 0.235 0.074 0.886
O8 0.252 0.649 0.457
O9 0.321 0.136 0.530
O10 0.390 0.594 0.732
O11 0.403 0.046 0.205
O12 0.457 0.252 0.649
O13 0.530 0.321 0.136
O14 0.552 0.894 0.698
O15 0.594 0.732 0.390
O16 0.646 0.815 0.037
O17 0.649 0.457 0.252
O18 0.698 0.552 0.894
O19 0.732 0.390 0.594
O20 0.760 0.963 0.143
O21 0.815 0.037 0.646
O22 0.886 0.235 0.074
O23 0.894 0.698 0.552
O24 0.963 0.143 0.760
```

Most intense lines, 10 to 90 degrees two-theta, low angle first:
d_spacing  I/Imax
4.320  85
3.654  100
3.516  17
2.802  16
2.684  71
2.494  39
1.902  30
1.827  27
1.633  24
1.474  21